This entry pairs a crystal structure of InPd8Pt5 with its theoretical powder X-ray diffraction pattern. Radiation: Cu Kα X-rays. Structure: a structure optimized by DFT (PBE).

Structure:
Unit cell a=7.6526 b=7.6526 c=8.0454 alpha=90.00 beta=90.00 gamma=90.00
Space group I-4 (No. 82)
Unique sites:
In 0.0000 0.0000 0.0000
Pd 0.0651 0.8331 0.6582
Pd 0.1073 0.6770 0.9988
Pt 0.0000 0.5000 0.7500
Pt 0.1166 0.7022 0.3279

Main lines, sorted by position (10 to 90 degrees two-theta):
27.6 deg, rel. 19, (1 1 2); 28.3 deg, rel. 25, (2 1 1); 35.5 deg, rel. 44, (1 0 3); 37.0 deg, rel. 75, (3 0 1); 37.2 deg, rel. 64, (3 1 0); 40.2 deg, rel. 25, (2 2 2); 42.8 deg, rel. 100, (1 2 3); 43.6 deg, rel. 33, (1 3 2); 44.1 deg, rel. 40, (3 2 1); 70.9 deg, rel. 22, (5 0 3)

---

This entry pairs a crystal structure of Hg4SI2F with its theoretical powder X-ray diffraction pattern. Radiation: Cu Kα X-rays. Structure: a structure optimized by DFT (PBE).

Structure:
Unit cell a=8.8843 b=6.9809 c=9.1439 alpha=90.00 beta=90.00 gamma=90.00
Space group Pmn2_1 (No. 31)
Unique sites:
Hg 0.0000 0.0169 0.0000
Hg 0.0000 0.2276 0.3710
Hg 0.2098 0.1899 0.8117
S 0.0000 0.8831 0.2574
I 0.2121 0.6286 0.8226
F 0.0000 0.1981 0.6225

Main lines, sorted by position (10 to 90 degrees two-theta):
16.1 deg, rel. 40, (1 1 0); 19.4 deg, rel. 100, (0 0 2); 25.7 deg, rel. 40, (2 1 1); 27.3 deg, rel. 47, (0 2 1); 28.0 deg, rel. 56, (2 0 2); 31.8 deg, rel. 39, (3 0 1); 32.3 deg, rel. 36, (0 2 2); 34.1 deg, rel. 41, (2 2 1); 41.2 deg, rel. 32, (3 2 1); 42.6 deg, rel. 32, (3 0 3)

---

This entry pairs a crystal structure of Sr10MnN8 with its theoretical powder X-ray diffraction pattern. Radiation: Cu Kα X-rays. Structure: a structure optimized by DFT (PBE).

Structure:
Unit cell a=22.1598 b=4.8248 c=8.7054 alpha=90.00 beta=109.02 gamma=90.00
Space group C2/m (No. 12)
Unique sites:
Sr 0.0288 0.0000 0.3372
Sr 0.0955 0.5000 0.7528
Sr 0.1426 0.5000 0.2473
Sr 0.1980 0.0000 0.0362
Sr 0.2045 0.0000 0.6157
Mn 0.0000 0.5000 0.0000
N 0.0195 0.5000 0.2084
N 0.0909 0.0000 0.6371
N 0.1911 0.5000 0.0178
N 0.1944 0.0000 0.3284

Main lines, sorted by position (10 to 90 degrees two-theta):
21.1 deg, rel. 19, (1 1 -1); 26.7 deg, rel. 18, (3 1 1); 27.7 deg, rel. 22, (1 1 -2); 28.2 deg, rel. 100, (3 1 -2); 31.7 deg, rel. 20, (4 0 2); 32.3 deg, rel. 15, (8 0 -1); 32.7 deg, rel. 26, (0 0 3); 34.1 deg, rel. 19, (8 0 -2); 37.3 deg, rel. 37, (0 2 0); 49.6 deg, rel. 20, (1 1 4)

---

This entry pairs a crystal structure of Pm9Dy4Y11 with its theoretical powder X-ray diffraction pattern. Radiation: Cu Kα X-rays. Structure: a structure optimized by DFT (PBE).

Structure:
Unit cell a=16.8376 b=25.4685 c=3.7346 alpha=90.00 beta=90.00 gamma=90.00
Space group Cmmm (No. 65)
Unique sites:
Pm 0.0000 0.0000 0.0000
Pm 0.1029 0.2338 0.0000
Pm 0.1408 0.4267 0.0000
Dy 0.1548 0.1006 0.0000
Y 0.0000 0.1329 0.5000
Y 0.0000 0.3399 0.5000
Y 0.0000 0.5000 0.5000
Y 0.2090 0.0000 0.5000
Y 0.2262 0.3197 0.5000

Main lines, sorted by position (10 to 90 degrees two-theta):
23.8 deg, rel. 15, (0 0 1); 29.7 deg, rel. 25, (2 4 1); 29.9 deg, rel. 83, (4 6 0); 30.6 deg, rel. 25, (3 3 1); 31.9 deg, rel. 88, (0 6 1); 32.0 deg, rel. 100, (4 0 1); 32.7 deg, rel. 17, (6 2 0); 48.8 deg, rel. 21, (0 0 2); 58.3 deg, rel. 27, (4 6 2); 62.3 deg, rel. 17, (10 4 1)